Simulated XRD peak list of Tl3Hg3H2 for Cu Kα X-rays, from DFT lattice parameters and positions (PBE).
Intensities are scaled so that the largest is 1000.

Cell and atoms:
Cell lengths 3.476, 6.117, 9.380 Å; angles 96.09, 100.51, 90.56 degrees
Space group P-1 (No. 2)
Asymmetric unit:
Tl  0.000  0.000  0.000
Tl  0.164  0.382  0.333
Hg  0.349  0.117  0.692
Hg  0.500  0.500  0.000
H  0.259  0.670  0.512

The 6 most intense peaks (2θ from 10° to 90°), low angle first:
2θ (°)	I_rel	(hkl)
29.2	1000	0 0 3
32.0	704	0 2 1
32.2	657	1 -1 1
32.5	622	1 1 -2
33.5	489	0 2 -2
33.8	448	-1 1 2